Record 1
Diffraction record for Ac6PmPb3. The powder X-ray diffraction pattern is calculated, not measured: it uses a cell relaxed with GGA-PBE and Cu Kα.
No peak broadening, texture or thermal motion is included.

Atomic structure:
```
data_Ac6PmPb3
_space_group_name_H-M_alt 'C m c 21'
_space_group_IT_number 36
_cell_length_a 12.8003
_cell_length_b 16.3350
_cell_length_c 7.9725
_cell_angle_alpha 90.00
_cell_angle_beta 90.00
_cell_angle_gamma 90.00
loop_
_space_group_symop_operation_xyz
'x,y,z'
'-x,-y,z+1/2'
'-x,y,z'
'x,-y,z+1/2'
'x+1/2,y+1/2,z'
'-x+1/2,-y+1/2,z+1/2'
'-x+1/2,y+1/2,z'
'x+1/2,-y+1/2,z+1/2'
loop_
_atom_site_label
_atom_site_type_symbol
_atom_site_fract_x
_atom_site_fract_y
_atom_site_fract_z
Ac1 Ac 0.0000 0.0453 0.0000
Ac2 Ac 0.0000 0.2646 0.1446
Ac3 Ac 0.1889 0.4644 0.1626
Ac4 Ac 0.2376 0.2955 0.4854
Pm1 Pm 0.0000 0.1951 0.6384
Pb1 Pb 0.0000 0.4036 0.4719
Pb2 Pb 0.1562 0.1106 0.3420
```

Most intense lines, 2θ = 10–90°, by angle:
2θ = 14.2°, I 29; 2θ = 28.2°, I 96; 2θ = 28.6°, I 100; 2θ = 28.8°, I 28; 2θ = 31.2°, I 34; 2θ = 31.4°, I 23; 2θ = 32.1°, I 32; 2θ = 35.5°, I 38; 2θ = 49.1°, I 27; 2θ = 56.8°, I 27

---

Record 2
Diffraction record for Sm2Zn15Ag2. The powder X-ray diffraction pattern is calculated, not measured: it uses a cell relaxed with GGA-PBE and Cu Kα.
No peak broadening, texture or thermal motion is included.

Atomic structure:
```
data_Sm2Zn15Ag2
_space_group_name_H-M_alt 'R -3 m'
_space_group_IT_number 166
_space_group_name_Hall '-R 3 2"'
_cell_length_a 9.0916
_cell_length_b 9.0916
_cell_length_c 13.2954
_cell_angle_alpha 90.00
_cell_angle_beta 90.00
_cell_angle_gamma 120.00
loop_
_atom_site_label
_atom_site_type_symbol
_atom_site_fract_x
_atom_site_fract_y
_atom_site_fract_z
Sm1 Sm 0.0000 0.0000 0.1591
Zn1 Zn 0.0000 0.2951 0.5000
Zn2 Zn 0.0000 0.5000 0.0000
Zn3 Zn 0.0095 0.5048 0.6525
Ag1 Ag 0.0000 0.0000 0.3939
```

Most intense lines, 2θ = 10–90°, by angle:
2θ = 34.2°, I 57; 2θ = 35.3°, I 44; 2θ = 39.7°, I 82; 2θ = 39.9°, I 100; 2θ = 40.7°, I 65; 2θ = 41.0°, I 27; 2θ = 44.8°, I 43; 2θ = 58.1°, I 28; 2θ = 72.0°, I 24; 2θ = 73.6°, I 30

---

Record 3
Diffraction record for ScTa2Fe. The powder X-ray diffraction pattern is calculated, not measured: it uses a cell relaxed with GGA-PBE and Cu Kα.
No peak broadening, texture or thermal motion is included.

Atomic structure:
```
data_ScTa2Fe
_space_group_name_H-M_alt 'P 4 m m'
_space_group_IT_number 99
_cell_length_a 3.0710
_cell_length_b 3.0710
_cell_length_c 7.2949
_cell_angle_alpha 90.00
_cell_angle_beta 90.00
_cell_angle_gamma 90.00
loop_
_space_group_symop_operation_xyz
'x,y,z'
'-y,x,z'
'-x,-y,z'
'y,-x,z'
'-x,y,z'
'y,x,z'
'x,-y,z'
'-y,-x,z'
loop_
_atom_site_label
_atom_site_type_symbol
_atom_site_fract_x
_atom_site_fract_y
_atom_site_fract_z
Sc1 Sc 0.0000 0.0000 0.0000
Ta1 Ta 0.0000 0.0000 0.5705
Ta2 Ta 0.5000 0.5000 0.2977
Fe1 Fe 0.5000 0.5000 0.7554
```

Most intense lines, 2θ = 10–90°, by angle:
2θ = 12.1°, I 56; 2θ = 31.6°, I 34; 2θ = 37.0°, I 10; 2θ = 38.3°, I 100; 2θ = 41.6°, I 44; 2θ = 43.5°, I 11; 2θ = 56.8°, I 12; 2θ = 60.3°, I 15; 2θ = 67.0°, I 14; 2θ = 73.7°, I 29

---

Record 4
Diffraction record for ZrPd6. The powder X-ray diffraction pattern is calculated, not measured: it uses a cell relaxed with GGA-PBE and Cu Kα.
No peak broadening, texture or thermal motion is included.

Atomic structure:
```
data_ZrPd6
_space_group_name_H-M_alt 'P m m n'
_space_group_IT_number 59
_cell_length_a 4.2574
_cell_length_b 8.2852
_cell_length_c 6.7178
_cell_angle_alpha 90.00
_cell_angle_beta 90.00
_cell_angle_gamma 90.00
loop_
_space_group_symop_operation_xyz
'x,y,z'
'-x,-y,-z'
'-x+1/2,-y+1/2,z'
'x+1/2,y+1/2,-z'
'x+1/2,-y,-z'
'-x+1/2,y,z'
'-x,y+1/2,-z'
'x,-y+1/2,z'
loop_
_atom_site_label
_atom_site_type_symbol
_atom_site_fract_x
_atom_site_fract_y
_atom_site_fract_z
Zr1 Zr 0.2500 0.2500 0.1764
Pd1 Pd 0.2500 0.0088 0.8591
Pd2 Pd 0.2500 0.2500 0.5897
Pd3 Pd 0.2500 0.5395 0.3975
Pd4 Pd 0.2500 0.7500 0.0960
```

Most intense lines, 2θ = 10–90°, by angle:
2θ = 33.0°, I 8; 2θ = 40.6°, I 100; 2θ = 41.2°, I 17; 2θ = 41.8°, I 8; 2θ = 42.5°, I 27; 2θ = 43.7°, I 18; 2θ = 54.6°, I 7; 2θ = 62.6°, I 14; 2θ = 76.4°, I 15; 2θ = 78.1°, I 10

---

Record 5
Diffraction record for Pr6Sm2Sc3. The powder X-ray diffraction pattern is calculated, not measured: it uses a cell relaxed with GGA-PBE and Cu Kα.
No peak broadening, texture or thermal motion is included.

Atomic structure:
```
data_Pr6Sm2Sc3
_space_group_name_H-M_alt 'C 1 2/m 1'
_space_group_IT_number 12
_cell_length_a 11.3648
_cell_length_b 5.0634
_cell_length_c 12.7839
_cell_angle_alpha 90.00
_cell_angle_beta 105.36
_cell_angle_gamma 90.00
loop_
_space_group_symop_operation_xyz
'x,y,z'
'-x,-y,-z'
'-x,y,-z'
'x,-y,z'
'x+1/2,y+1/2,z'
'-x+1/2,-y+1/2,-z'
'-x+1/2,y+1/2,-z'
'x+1/2,-y+1/2,z'
loop_
_atom_site_label
_atom_site_type_symbol
_atom_site_fract_x
_atom_site_fract_y
_atom_site_fract_z
Pr1 Pr 0.0424 0.0000 0.3144
Pr2 Pr 0.1798 0.5000 0.7814
Pr3 Pr 0.2261 0.0000 0.5907
Sm1 Sm 0.0960 0.5000 0.1271
Sc1 Sc 0.0000 0.5000 0.5000
Sc2 Sc 0.1342 0.0000 0.9569
```

Most intense lines, 2θ = 10–90°, by angle:
2θ = 30.5°, I 100; 2θ = 30.8°, I 99; 2θ = 35.4°, I 68; 2θ = 35.8°, I 32; 2θ = 51.0°, I 35; 2θ = 51.2°, I 22; 2θ = 60.4°, I 15; 2θ = 60.6°, I 15; 2θ = 60.8°, I 28; 2θ = 60.9°, I 12

---

Record 6
Diffraction record for Dy3Sn3Pd2. The powder X-ray diffraction pattern is calculated, not measured: it uses a cell relaxed with GGA-PBE and Cu Kα.
No peak broadening, texture or thermal motion is included.

Atomic structure:
```
data_Dy3Sn3Pd2
_space_group_name_H-M_alt 'P n m a'
_space_group_IT_number 62
_cell_length_a 8.4174
_cell_length_b 15.3324
_cell_length_c 5.9155
_cell_angle_alpha 90.00
_cell_angle_beta 90.00
_cell_angle_gamma 90.00
loop_
_space_group_symop_operation_xyz
'x,y,z'
'-x,-y,-z'
'-x+1/2,-y,z+1/2'
'x+1/2,y,-z+1/2'
'x+1/2,-y+1/2,-z+1/2'
'-x+1/2,y+1/2,z+1/2'
'-x,y+1/2,-z'
'x,-y+1/2,z'
loop_
_atom_site_label
_atom_site_type_symbol
_atom_site_fract_x
_atom_site_fract_y
_atom_site_fract_z
Dy1 Dy 0.0321 0.1114 0.1246
Dy2 Dy 0.1736 0.2500 0.6356
Sn1 Sn 0.1865 0.7500 0.6298
Sn2 Sn 0.1992 0.0367 0.6015
Pd1 Pd 0.0852 0.6124 0.3731
```

Most intense lines, 2θ = 10–90°, by angle:
2θ = 31.6°, I 100; 2θ = 32.1°, I 39; 2θ = 32.6°, I 55; 2θ = 35.1°, I 81; 2θ = 35.4°, I 47; 2θ = 36.7°, I 60; 2θ = 39.7°, I 26; 2θ = 40.0°, I 44; 2θ = 45.8°, I 32; 2θ = 62.3°, I 27